Record 1
Mg7Ta6: computed PXRD pattern (λ = 1.5418 Å (Cu Kα)), based on a structure optimized by DFT (GGA-PBE).
Lines closer than 0.1° are merged.

Cell and atoms:
```
data_Mg7Ta6
_chemical_formula_sum 'Mg21 Ta18'
_space_group_name_H-M_alt 'R -3 m'
_space_group_IT_number 166
_space_group_name_Hall '-R 3 2"'
_cell_length_a 5.3473
_cell_length_b 5.3473
_cell_length_c 29.2034
_cell_angle_alpha 90.00
_cell_angle_beta 90.00
_cell_angle_gamma 120.00
loop_
_atom_site_label
_atom_site_type_symbol
_atom_site_fract_x
_atom_site_fract_y
_atom_site_fract_z
_atom_site_occupancy
Mg1 Mg 0.0000 0.0000 0.0000 1
Mg2 Mg 0.0067 0.5033 0.4106 1
Ta1 Ta 0.0000 0.0000 0.1650 1
Ta2 Ta 0.0000 0.0000 0.3508 1
Ta3 Ta 0.0000 0.0000 0.4571 1
```

The 8 most intense peaks (2θ = 10–90°), low angle first:
| two_theta | I/Imax |
| --- | --- |
| 18.23 | 326 |
| 19.41 | 325 |
| 33.52 | 1000 |
| 36.37 | 604 |
| 38.41 | 616 |
| 39.09 | 522 |
| 59.92 | 192 |
| 61.79 | 258 |



Record 2
BeMo: computed PXRD pattern (λ = 1.5418 Å (Cu Kα)), based on a structure optimized by DFT (GGA-PBE).
Lines closer than 0.1° are merged.

Cell and atoms:
```
data_BeMo
_chemical_formula_sum 'Be6 Mo6'
_space_group_name_H-M_alt 'P m n 21'
_space_group_IT_number 31
_space_group_name_Hall 'P 2ac -2'
_cell_length_a 12.860
_cell_length_b 2.600
_cell_length_c 4.442
_cell_angle_alpha 90.00
_cell_angle_beta 90.00
_cell_angle_gamma 90.00
loop_
_atom_site_label
_atom_site_type_symbol
_atom_site_fract_x
_atom_site_fract_y
_atom_site_fract_z
_atom_site_occupancy
Be1 Be 0.000 0.041 0.000 1
Be2 Be 0.148 0.998 0.727 1
Mo1 Mo 0.000 0.568 0.496 1
Mo2 Mo 0.179 0.403 0.224 1
```

The 8 most intense peaks (2θ = 10–90°), low angle first:
| two_theta | I/Imax |
| --- | --- |
| 21.16 | 590 |
| 28.95 | 1000 |
| 34.49 | 374 |
| 40.56 | 504 |
| 40.82 | 220 |
| 42.16 | 322 |
| 43.09 | 385 |
| 45.63 | 511 |